# Hf3CuSi5
Theoretical powder diffractogram, λ = 1.5418 Å (Cu Kα). Input: a crystal structure in OQMD, relaxed with GGA-PBE.
Neutral-atom scattering factors, no anomalous dispersion.

Atomic structure:
abc: 5.7146 5.7146 6.6273
angles: 90.00 90.00 120.00
Space group P6/mmm (No. 191)
Inequivalent atoms, fractional coordinates:
Hf 0.0000 0.5000 0.0000
Cu 0.0000 0.0000 0.5000
Si 0.0000 0.0000 0.0000
Si 0.3333 0.6667 0.3297

Most intense lines, 2θ from 10° to 90°, in order of rising 2θ:
(hkl), d_spacing, 2θ (°), I (rel.)
0 0 1, 6.627, 13.36, 100
1 0 1, 3.965, 22.42, 35
0 0 2, 3.314, 26.91, 34
1 1 1, 2.624, 34.17, 26
2 0 0, 2.474, 36.30, 48
2 0 1, 2.318, 38.85, 65
2 0 2, 1.983, 45.76, 67
2 0 3, 1.648, 55.78, 17
2 2 0, 1.428, 65.33, 22
2 0 4, 1.377, 68.11, 20

# DyTm3Tl2N2
Theoretical powder diffractogram, λ = 1.5418 Å (Cu Kα). Input: a crystal structure in OQMD, relaxed with GGA-PBE.
Neutral-atom scattering factors, no anomalous dispersion.

Atomic structure:
abc: 3.4879 3.4879 15.5575
angles: 90.00 90.00 120.00
Space group P3m1 (No. 156)
Inequivalent atoms, fractional coordinates:
Dy 0.0000 0.0000 0.0000
Tm 0.0000 0.0000 0.3325
Tm 0.3333 0.6667 0.4993
Tm 0.3333 0.6667 0.8312
Tl 0.0000 0.0000 0.6650
Tl 0.3333 0.6667 0.1674
N 0.6667 0.3333 0.4160
N 0.6667 0.3333 0.9121

Most intense lines, 2θ from 10° to 90°, in order of rising 2θ:
(hkl), d_spacing, 2θ (°), I (rel.)
1 0 0, 3.021, 29.57, 22
1 0 3, 2.610, 34.36, 100
0 0 6, 2.593, 34.59, 21
0 1 6, 1.967, 46.14, 16
1 1 0, 1.744, 52.47, 21
1 0 9, 1.500, 61.84, 19
0 2 3, 1.450, 64.23, 17
1 1 6, 1.447, 64.38, 21
0 2 9, 1.137, 85.35, 8
2 1 3, 1.115, 87.48, 15